(1)
# AcNdCdAu
Calculated X-ray diffraction stick pattern, Cu Ka. Input: the PBE geometry in Alexandria.
No peak broadening, texture or thermal motion is included.

Top 6 peaks for 10° ≤ 2θ ≤ 90°, by angle:
2θ/deg, intensity
32.5, 100
32.7, 52
46.9, 19
58.0, 17
58.2, 38
77.9, 17

Structural model:
abc: 3.8772 3.8772 7.8158
angles: 90.00 90.00 90.00
Space group P4mm (No. 99)
Symmetry-distinct sites (fractional):
Ac: 0.0000 0.0000 0.0000 (multiplicity 1)
Nd: 0.0000 0.0000 0.4708 (multiplicity 1)
Cd: 0.5000 0.5000 0.7167 (multiplicity 1)
Au: 0.5000 0.5000 0.2601 (multiplicity 1)

(2)
# Ac3CdPd6Au2
Calculated X-ray diffraction stick pattern, Cu Ka. Input: the PBE geometry in Alexandria.
No peak broadening, texture or thermal motion is included.

Top 6 peaks for 10° ≤ 2θ ≤ 90°, by angle:
2θ/deg, intensity
29.2, 51
30.4, 98
36.3, 100
36.7, 87
40.6, 57
42.7, 51

Structural model:
abc: 5.8758 5.8758 9.1687
angles: 90.00 90.00 120.00
Space group P-3m1 (No. 164)
Symmetry-distinct sites (fractional):
Ac: 0.0000 0.0000 0.0000 (multiplicity 1)
Ac: 0.3333 0.6667 0.6363 (multiplicity 2)
Cd: 0.0000 0.0000 0.5000 (multiplicity 1)
Pd: 0.1754 0.3507 0.2737 (multiplicity 6)
Au: 0.3333 0.6667 0.0123 (multiplicity 2)

(3)
# AcCdPtAu2
Calculated X-ray diffraction stick pattern, Cu Ka. Input: the PBE geometry in Alexandria.
No peak broadening, texture or thermal motion is included.

Top 6 peaks for 10° ≤ 2θ ≤ 90°, by angle:
2θ/deg, intensity
29.6, 27
33.0, 100
39.8, 32
40.7, 29
42.2, 27
44.0, 24

Structural model:
abc: 4.1149 4.2861 13.3332
angles: 90.00 90.00 90.00
Space group Imm2 (No. 44)
Symmetry-distinct sites (fractional):
Ac: 0.0000 0.0000 0.0000 (multiplicity 2)
Cd: 0.0000 0.5000 0.7644 (multiplicity 2)
Pt: 0.0000 0.0000 0.4159 (multiplicity 2)
Au: 0.0000 0.0000 0.6203 (multiplicity 2)
Au: 0.0000 0.5000 0.2743 (multiplicity 2)

(4)
# AcCdRhAu2
Calculated X-ray diffraction stick pattern, Cu Ka. Input: the PBE geometry in Alexandria.
No peak broadening, texture or thermal motion is included.

Top 6 peaks for 10° ≤ 2θ ≤ 90°, by angle:
2θ/deg, intensity
29.7, 33
33.4, 100
39.9, 26
40.9, 26
42.7, 24
44.5, 21

Structural model:
abc: 4.0706 4.2317 13.3664
angles: 90.00 90.00 90.00
Space group Imm2 (No. 44)
Symmetry-distinct sites (fractional):
Ac: 0.0000 0.0000 0.0000 (multiplicity 2)
Cd: 0.0000 0.5000 0.7767 (multiplicity 2)
Rh: 0.0000 0.0000 0.4289 (multiplicity 2)
Au: 0.0000 0.0000 0.6299 (multiplicity 2)
Au: 0.0000 0.5000 0.2872 (multiplicity 2)

(5)
# AcSmCd2Au4
Calculated X-ray diffraction stick pattern, Cu Ka. Input: the PBE geometry in Alexandria.
No peak broadening, texture or thermal motion is included.

Top 6 peaks for 10° ≤ 2θ ≤ 90°, by angle:
2θ/deg, intensity
33.7, 100
36.3, 97
50.4, 32
63.7, 35
65.4, 18
86.9, 16

Structural model:
abc: 4.9455 4.9455 27.0961
angles: 90.00 90.00 120.00
Space group R-3m (No. 166, hexagonal axes)
Symmetry-distinct sites (fractional):
Ac: 0.0000 0.0000 0.0000 (multiplicity 3)
Sm: 0.0000 0.0000 0.5000 (multiplicity 3)
Cd: 0.0000 0.0000 0.2430 (multiplicity 6)
Au: 0.0000 0.0000 0.1224 (multiplicity 6)
Au: 0.0000 0.0000 0.3892 (multiplicity 6)

(6)
# AcCe2Au
Calculated X-ray diffraction stick pattern, Cu Ka. Input: the PBE geometry in Alexandria.
No peak broadening, texture or thermal motion is included.

Top 6 peaks for 10° ≤ 2θ ≤ 90°, by angle:
2θ/deg, intensity
31.7, 100
33.2, 53
47.7, 20
49.6, 9
55.5, 12
58.4, 36

Structural model:
abc: 3.8107 3.8107 8.4023
angles: 90.00 90.00 90.00
Space group P4/mmm (No. 123)
Symmetry-distinct sites (fractional):
Ac: 0.0000 0.0000 0.0000 (multiplicity 1)
Ce: 0.5000 0.5000 0.3040 (multiplicity 2)
Au: 0.0000 0.0000 0.5000 (multiplicity 1)

(7)
# AcCe3Au4
Calculated X-ray diffraction stick pattern, Cu Ka. Input: the PBE geometry in Alexandria.
No peak broadening, texture or thermal motion is included.

Top 6 peaks for 10° ≤ 2θ ≤ 90°, by angle:
2θ/deg, intensity
33.6, 52
33.9, 100
48.3, 19
60.3, 39
60.7, 18
71.2, 11

Structural model:
abc: 10.6545 7.4428 5.3288
angles: 90.00 90.00 90.00
Space group Pmma (No. 51)
Symmetry-distinct sites (fractional):
Ac: 0.0000 0.0000 0.0000 (multiplicity 2)
Ce: 0.0000 0.5000 0.0000 (multiplicity 2)
Ce: 0.2500 0.0000 0.4992 (multiplicity 2)
Ce: 0.2500 0.5000 0.4989 (multiplicity 2)
Au: 0.0000 0.2651 0.5000 (multiplicity 4)
Au: 0.2500 0.2642 0.9987 (multiplicity 4)

(8)
# AcCeAu4
Calculated X-ray diffraction stick pattern, Cu Ka. Input: the PBE geometry in Alexandria.
No peak broadening, texture or thermal motion is included.

Top 6 peaks for 10° ≤ 2θ ≤ 90°, by angle:
2θ/deg, intensity
32.1, 100
32.2, 52
37.1, 40
37.4, 78
49.9, 31
63.0, 35

Structural model:
abc: 3.7403 4.8483 8.3024
angles: 90.00 90.00 90.00
Space group Pmmm (No. 47)
Symmetry-distinct sites (fractional):
Ac: 0.0000 0.0000 0.0000 (multiplicity 1)
Ce: 0.0000 0.5000 0.5000 (multiplicity 1)
Au: 0.5000 0.0000 0.3356 (multiplicity 2)
Au: 0.5000 0.5000 0.1715 (multiplicity 2)

(9)
# AcHgAuCl
Calculated X-ray diffraction stick pattern, Cu Ka. Input: the PBE geometry in Alexandria.
No peak broadening, texture or thermal motion is included.

Top 6 peaks for 10° ≤ 2θ ≤ 90°, by angle:
2θ/deg, intensity
20.6, 14
34.0, 100
48.9, 18
60.9, 38
71.6, 12
81.7, 17

Structural model:
abc: 7.4566 7.4566 7.4566
angles: 90.00 90.00 90.00
Space group F-43m (No. 216)
Symmetry-distinct sites (fractional):
Ac: 0.0000 0.0000 0.0000 (multiplicity 4)
Hg: 0.0000 0.0000 0.5000 (multiplicity 4)
Au: 0.2500 0.2500 0.7500 (multiplicity 4)
Cl: 0.2500 0.2500 0.2500 (multiplicity 4)

(10)
# Ac2AuClO4
Calculated X-ray diffraction stick pattern, Cu Ka. Input: the PBE geometry in Alexandria.
No peak broadening, texture or thermal motion is included.

Top 6 peaks for 10° ≤ 2θ ≤ 90°, by angle:
2θ/deg, intensity
10.2, 100
23.1, 36
25.2, 34
28.8, 92
30.2, 35
38.4, 51

Structural model:
abc: 9.2428 3.8745 9.3252
angles: 90.00 112.04 90.00
Space group C2/m (No. 12)
Symmetry-distinct sites (fractional):
Ac: 0.1907 0.0000 0.2803 (multiplicity 4)
Au: 0.0000 0.0000 0.5000 (multiplicity 2)
Cl: 0.0000 0.5000 0.0000 (multiplicity 2)
O: 0.1283 0.5000 0.4389 (multiplicity 4)
O: 0.1396 0.0000 0.7282 (multiplicity 4)

(11)
# AcAuClO2
Calculated X-ray diffraction stick pattern, Cu Ka. Input: the PBE geometry in Alexandria.
No peak broadening, texture or thermal motion is included.

Top 6 peaks for 10° ≤ 2θ ≤ 90°, by angle:
2θ/deg, intensity
11.9, 64
26.2, 48
27.2, 69
30.7, 100
32.6, 68
44.8, 26

Structural model:
abc: 6.5945 4.0446 7.8268
angles: 90.00 108.02 90.00
Space group P2_1/m (No. 11)
Symmetry-distinct sites (fractional):
Ac: 0.1315 0.2500 0.2299 (multiplicity 2)
Au: 0.4084 0.2500 0.8736 (multiplicity 2)
Cl: 0.2387 0.7500 0.5823 (multiplicity 2)
O: 0.1125 0.2500 0.9040 (multiplicity 2)
O: 0.3274 0.7500 0.1989 (multiplicity 2)

(12)
# Ac6CoAu
Calculated X-ray diffraction stick pattern, Cu Ka. Input: the PBE geometry in Alexandria.
No peak broadening, texture or thermal motion is included.

Top 6 peaks for 10° ≤ 2θ ≤ 90°, by angle:
2θ/deg, intensity
25.3, 79
26.1, 70
26.6, 100
27.6, 74
29.5, 84
30.9, 77

Structural model:
abc: 14.3056 11.0999 10.9461
angles: 90.00 128.23 90.00
Space group C2/m (No. 12)
Symmetry-distinct sites (fractional):
Ac: 0.0325 0.1810 0.2141 (multiplicity 8)
Ac: 0.1357 0.5000 0.4466 (multiplicity 4)
Ac: 0.1732 0.1769 0.6658 (multiplicity 8)
Ac: 0.2453 0.0000 0.1179 (multiplicity 4)
Co: 0.2500 0.2500 0.5000 (multiplicity 4)
Au: 0.2500 0.2500 0.0000 (multiplicity 4)

(13)
# Ac7CoAu4
Calculated X-ray diffraction stick pattern, Cu Ka. Input: the PBE geometry in Alexandria.
No peak broadening, texture or thermal motion is included.

Top 6 peaks for 10° ≤ 2θ ≤ 90°, by angle:
2θ/deg, intensity
25.5, 67
27.1, 98
28.6, 78
28.7, 100
31.1, 100
42.3, 91

Structural model:
abc: 14.5213 4.2748 14.1851
angles: 90.00 109.12 90.00
Space group Cm (No. 8)
Symmetry-distinct sites (fractional):
Ac: 0.0000 0.0000 0.0000 (multiplicity 2)
Ac: 0.0185 0.5000 0.2525 (multiplicity 2)
Ac: 0.0656 0.0000 0.5740 (multiplicity 2)
Ac: 0.2081 0.5000 0.8535 (multiplicity 2)
Ac: 0.2436 0.5000 0.1477 (multiplicity 2)
Ac: 0.2712 0.0000 0.4052 (multiplicity 2)
Ac: 0.3701 0.0000 0.7097 (multiplicity 2)
Co: 0.1311 0.0000 0.2020 (multiplicity 2)
Au: 0.0393 0.0000 0.7889 (multiplicity 2)
Au: 0.2252 0.5000 0.5638 (multiplicity 2)
Au: 0.3399 0.0000 0.0208 (multiplicity 2)
Au: 0.4142 0.5000 0.3572 (multiplicity 2)

(14)
# Ac6CoIr2Au
Calculated X-ray diffraction stick pattern, Cu Ka. Input: the PBE geometry in Alexandria.
No peak broadening, texture or thermal motion is included.

Top 6 peaks for 10° ≤ 2θ ≤ 90°, by angle:
2θ/deg, intensity
16.0, 18
26.8, 100
35.0, 63
41.4, 44
45.8, 23
69.0, 17

Structural model:
abc: 7.5528 7.5553 8.2213
angles: 90.04 117.33 119.92
Space group P1 (No. 1)
Symmetry-distinct sites (fractional):
Ac: 0.0000 0.0000 0.0000 (multiplicity 1)
Ac: 0.0019 0.8037 0.4813 (multiplicity 1)
Ac: 0.3348 0.4683 0.4818 (multiplicity 1)
Ac: 0.3879 0.6587 0.0005 (multiplicity 1)
Ac: 0.6578 0.2703 0.0001 (multiplicity 1)
Ac: 0.6706 0.1365 0.4815 (multiplicity 1)
Co: 0.8554 0.0629 0.2603 (multiplicity 1)
Ir: 0.4930 0.8818 0.7171 (multiplicity 1)
Ir: 0.5070 0.3888 0.2386 (multiplicity 1)
Au: 0.8624 0.5660 0.7710 (multiplicity 1)